Structure and computed X-ray powder pattern of Ta4Mn2Zn3O16 (a structure optimized by DFT (PBE+U); Cu Kα X-rays).

Atomic structure:
```
data_Ta4Mn2Zn3O16
_chemical_formula_sum 'Ta4 Mn2 Zn3 O16'
_cell_length_a 5.2110
_cell_length_b 5.9218
_cell_length_c 10.0829
_cell_angle_alpha 75.64
_cell_angle_beta 89.22
_cell_angle_gamma 87.73
_space_group_name_H-M_alt 'P 1'
_space_group_IT_number 1
_space_group_name_Hall 'P 1'
loop_
_atom_site_label
_atom_site_fract_x
_atom_site_fract_y
_atom_site_fract_z
Ta1 0.0000 0.0000 0.0000
Ta2 0.0298 0.2202 0.5271
Ta3 0.4814 0.3144 0.9974
Ta4 0.5253 0.5408 0.5347
Mn1 0.0065 0.6203 0.7674
Mn2 0.5140 0.9170 0.7649
Zn1 0.0377 0.8042 0.3280
Zn2 0.4923 0.7088 0.1908
Zn3 0.5543 0.1472 0.3152
O1 0.1184 0.7441 0.1461
O2 0.1728 0.2006 0.0982
O3 0.1897 0.4745 0.6327
O4 0.2065 0.9668 0.6512
O5 0.3195 0.5820 0.8759
O6 0.3362 0.0691 0.8921
O7 0.3476 0.3357 0.4241
O8 0.4179 0.8113 0.3783
O9 0.5948 0.4201 0.1508
O10 0.6742 0.9929 0.1112
O11 0.6817 0.7081 0.6562
O12 0.7028 0.2358 0.6304
O13 0.8138 0.3055 0.8984
O14 0.8386 0.8289 0.8714
O15 0.8437 0.5336 0.4219
O16 0.9023 0.0643 0.4001
```

Largest 10 diffraction maxima, in order of rising 2θ, 10 to 90 degrees two-theta:
| index | Position (°2θ) | d [Å] | I/Imax |
| --- | --- | --- | --- |
| 0 0 2 | 18.2 | 4.884 | 100 |
| 0 1 -2 | 26.8 | 3.332 | 61 |
| 1 1 -2 | 31.6 | 2.831 | 55 |
| 1 -1 2 | 32.2 | 2.783 | 79 |
| 1 1 3 | 32.5 | 2.751 | 73 |
| -1 1 3 | 33.3 | 2.691 | 48 |
| 1 2 1 | 34.3 | 2.615 | 74 |
| 2 0 0 | 34.4 | 2.603 | 84 |
| -1 2 1 | 35.5 | 2.527 | 53 |
| 0 3 -1 | 50.9 | 1.794 | 50 |